No. 1
Diffraction record for Ca2LaNd. The powder diffraction line list is simulated, not measured: it uses DFT lattice parameters and positions (PBE) and Cu Ka.

Principal peaks in the range 10° ≤ 2θ ≤ 80°, in order of rising 2θ:
28.7 deg, intensity 1000
33.0 deg, intensity 161
33.5 deg, intensity 341
34.3 deg, intensity 175
47.7 deg, intensity 224
57.0 deg, intensity 280

Cell and atoms:
```
data_Ca2LaNd
_cell_length_a 3.7860
_cell_length_b 3.7860
_cell_length_c 10.8650
_cell_angle_alpha 90.00
_cell_angle_beta 90.00
_cell_angle_gamma 90.00
_symmetry_space_group_name_H-M 'P 1'
_symmetry_Int_Tables_number 1
loop_
_symmetry_equiv_pos_as_xyz
'x,y,z'
loop_
_atom_site_label
_atom_site_type_symbol
_atom_site_fract_x
_atom_site_fract_y
_atom_site_fract_z
Ca1 Ca 0.0000 0.0000 0.0000
Ca2 Ca 0.5000 0.5000 0.2649
La1 La 0.5000 0.5000 0.7391
Nd1 Nd 0.0000 0.0000 0.5158
```

No. 2
Diffraction record for Pu4GaPt. The powder diffraction line list is simulated, not measured: it uses DFT lattice parameters and positions (PBE) and Cu Ka.

Principal peaks in the range 10° ≤ 2θ ≤ 80°, in order of rising 2θ:
31.9 deg, intensity 1000
36.5 deg, intensity 178
39.3 deg, intensity 296
40.7 deg, intensity 199
56.8 deg, intensity 230
63.8 deg, intensity 176

Cell and atoms:
```
data_Pu4GaPt
_cell_length_a 7.2509
_cell_length_b 7.2509
_cell_length_c 5.6087
_cell_angle_alpha 90.00
_cell_angle_beta 90.00
_cell_angle_gamma 90.00
_symmetry_space_group_name_H-M 'P 1'
_symmetry_Int_Tables_number 1
loop_
_symmetry_equiv_pos_as_xyz
'x,y,z'
loop_
_atom_site_label
_atom_site_type_symbol
_atom_site_fract_x
_atom_site_fract_y
_atom_site_fract_z
Pu1 Pu 0.1572 0.3385 0.0000
Pu2 Pu 0.1572 0.6615 0.5000
Pu3 Pu 0.3385 0.1572 0.5000
Pu4 Pu 0.3385 0.8428 0.0000
Pu5 Pu 0.6615 0.1572 0.0000
Pu6 Pu 0.6615 0.8428 0.5000
Pu7 Pu 0.8428 0.3385 0.5000
Pu8 Pu 0.8428 0.6615 0.0000
Ga1 Ga 0.5000 0.5000 0.2500
Ga2 Ga 0.5000 0.5000 0.7500
Pt1 Pt 0.0000 0.0000 0.2500
Pt2 Pt 0.0000 0.0000 0.7500
```

No. 3
Diffraction record for Fe3Pb2. The powder diffraction line list is simulated, not measured: it uses DFT lattice parameters and positions (PBE) and Cu Ka.

Principal peaks in the range 10° ≤ 2θ ≤ 80°, in order of rising 2θ:
16.8 deg, intensity 287
32.4 deg, intensity 203
35.3 deg, intensity 1000
43.4 deg, intensity 527
57.6 deg, intensity 248
74.4 deg, intensity 239

Cell and atoms:
```
data_Fe3Pb2
_cell_length_a 10.6987
_cell_length_b 10.6987
_cell_length_c 10.6987
_cell_angle_alpha 17.21
_cell_angle_beta 17.21
_cell_angle_gamma 17.21
_symmetry_space_group_name_H-M 'P 1'
_symmetry_Int_Tables_number 1
loop_
_symmetry_equiv_pos_as_xyz
'x,y,z'
loop_
_atom_site_label
_atom_site_type_symbol
_atom_site_fract_x
_atom_site_fract_y
_atom_site_fract_z
Fe1 Fe 0.0000 0.0000 0.0000
Fe2 Fe 0.1913 0.1913 0.1913
Fe3 Fe 0.8087 0.8087 0.8087
Pb1 Pb 0.4033 0.4033 0.4033
Pb2 Pb 0.5967 0.5967 0.5967
```

No. 4
Diffraction record for BaMg4Ga3. The powder diffraction line list is simulated, not measured: it uses DFT lattice parameters and positions (PBE) and Cu Ka.

Principal peaks in the range 10° ≤ 2θ ≤ 80°, in order of rising 2θ:
27.0 deg, intensity 592
27.3 deg, intensity 1000
28.8 deg, intensity 657
33.5 deg, intensity 624
38.6 deg, intensity 770
44.2 deg, intensity 589

Cell and atoms:
```
data_BaMg4Ga3
_cell_length_a 4.6688
_cell_length_b 4.6688
_cell_length_c 9.1207
_cell_angle_alpha 90.00
_cell_angle_beta 90.00
_cell_angle_gamma 90.00
_symmetry_space_group_name_H-M 'P 1'
_symmetry_Int_Tables_number 1
loop_
_symmetry_equiv_pos_as_xyz
'x,y,z'
loop_
_atom_site_label
_atom_site_type_symbol
_atom_site_fract_x
_atom_site_fract_y
_atom_site_fract_z
Ba1 Ba 0.0000 0.0000 0.0000
Mg1 Mg 0.0000 0.5000 0.3259
Mg2 Mg 0.0000 0.5000 0.6741
Mg3 Mg 0.5000 0.0000 0.3259
Mg4 Mg 0.5000 0.0000 0.6741
Ga1 Ga 0.0000 0.0000 0.5000
Ga2 Ga 0.5000 0.5000 0.1393
Ga3 Ga 0.5000 0.5000 0.8607
```

No. 5
Diffraction record for NaSr7Cu8S8F8. The powder diffraction line list is simulated, not measured: it uses DFT lattice parameters and positions (PBE) and Cu Ka.

Principal peaks in the range 10° ≤ 2θ ≤ 80°, in order of rising 2θ:
30.5 deg, intensity 954
33.6 deg, intensity 375
38.2 deg, intensity 1000
45.9 deg, intensity 588
53.1 deg, intensity 419
56.1 deg, intensity 312

Cell and atoms:
```
data_NaSr7Cu8S8F8
_cell_length_a 7.9117
_cell_length_b 7.9117
_cell_length_c 8.7515
_cell_angle_alpha 90.00
_cell_angle_beta 90.00
_cell_angle_gamma 90.00
_symmetry_space_group_name_H-M 'P 1'
_symmetry_Int_Tables_number 1
loop_
_symmetry_equiv_pos_as_xyz
'x,y,z'
loop_
_atom_site_label
_atom_site_type_symbol
_atom_site_fract_x
_atom_site_fract_y
_atom_site_fract_z
Na1 Na 0.0000 0.0000 0.0000
Sr1 Sr 0.0000 0.5000 0.0357
Sr2 Sr 0.2487 0.2487 0.7030
Sr3 Sr 0.2487 0.7513 0.7030
Sr4 Sr 0.5000 0.0000 0.0357
Sr5 Sr 0.5000 0.5000 0.0405
Sr6 Sr 0.7513 0.2487 0.7030
Sr7 Sr 0.7513 0.7513 0.7030
Cu1 Cu 0.0000 0.2483 0.3655
Cu2 Cu 0.0000 0.7517 0.3655
Cu3 Cu 0.2483 0.0000 0.3655
Cu4 Cu 0.2512 0.5000 0.3684
Cu5 Cu 0.5000 0.2512 0.3684
Cu6 Cu 0.5000 0.7488 0.3684
Cu7 Cu 0.7488 0.5000 0.3684
Cu8 Cu 0.7517 0.0000 0.3655
S1 S 0.0000 0.0000 0.5247
S2 S 0.0000 0.5000 0.5256
S3 S 0.2513 0.2513 0.2126
S4 S 0.2513 0.7487 0.2126
S5 S 0.5000 0.0000 0.5256
S6 S 0.5000 0.5000 0.5306
S7 S 0.7487 0.2513 0.2126
S8 S 0.7487 0.7487 0.2126
F1 F 0.0000 0.2537 0.8649
F2 F 0.0000 0.7463 0.8649
F3 F 0.2520 0.5000 0.8701
F4 F 0.2537 0.0000 0.8649
F5 F 0.5000 0.2520 0.8701
F6 F 0.5000 0.7480 0.8701
F7 F 0.7463 0.0000 0.8649
F8 F 0.7480 0.5000 0.8701
```

No. 6
Diffraction record for SrLaAg3. The powder diffraction line list is simulated, not measured: it uses DFT lattice parameters and positions (PBE) and Cu Ka.

Principal peaks in the range 10° ≤ 2θ ≤ 80°, in order of rising 2θ:
30.4 deg, intensity 1000
31.0 deg, intensity 488
36.2 deg, intensity 613
37.5 deg, intensity 394
49.4 deg, intensity 289
59.1 deg, intensity 281

Cell and atoms:
```
data_SrLaAg3
_cell_length_a 14.6403
_cell_length_b 14.6403
_cell_length_c 4.7962
_cell_angle_alpha 90.00
_cell_angle_beta 90.00
_cell_angle_gamma 164.18
_symmetry_space_group_name_H-M 'P 1'
_symmetry_Int_Tables_number 1
loop_
_symmetry_equiv_pos_as_xyz
'x,y,z'
loop_
_atom_site_label
_atom_site_type_symbol
_atom_site_fract_x
_atom_site_fract_y
_atom_site_fract_z
Sr1 Sr 0.0732 0.9268 0.7500
Sr2 Sr 0.9268 0.0732 0.2500
La1 La 0.2063 0.7937 0.2500
La2 La 0.7937 0.2063 0.7500
Ag1 Ag 0.3233 0.6767 0.2500
Ag2 Ag 0.3798 0.6202 0.7500
Ag3 Ag 0.4757 0.5243 0.7500
Ag4 Ag 0.5243 0.4757 0.2500
Ag5 Ag 0.6202 0.3798 0.2500
Ag6 Ag 0.6767 0.3233 0.7500
```

No. 7
Diffraction record for Ho2Ag4S5. The powder diffraction line list is simulated, not measured: it uses DFT lattice parameters and positions (PBE) and Cu Ka.

Principal peaks in the range 10° ≤ 2θ ≤ 80°, in order of rising 2θ:
26.3 deg, intensity 443
28.1 deg, intensity 473
31.7 deg, intensity 1000
44.8 deg, intensity 574
46.2 deg, intensity 316
55.4 deg, intensity 321

Cell and atoms:
```
data_Ho2Ag4S5
_cell_length_a 17.5495
_cell_length_b 17.5495
_cell_length_c 17.5495
_cell_angle_alpha 13.24
_cell_angle_beta 13.24
_cell_angle_gamma 13.24
_symmetry_space_group_name_H-M 'P 1'
_symmetry_Int_Tables_number 1
loop_
_symmetry_equiv_pos_as_xyz
'x,y,z'
loop_
_atom_site_label
_atom_site_type_symbol
_atom_site_fract_x
_atom_site_fract_y
_atom_site_fract_z
Ho1 Ho 0.1363 0.1363 0.1363
Ho2 Ho 0.8637 0.8637 0.8637
Ag1 Ag 0.3103 0.3103 0.3103
Ag2 Ag 0.4149 0.4149 0.4149
Ag3 Ag 0.5851 0.5851 0.5851
Ag4 Ag 0.6897 0.6897 0.6897
S1 S 0.2245 0.2245 0.2245
S2 S 0.3683 0.3683 0.3683
S3 S 0.5000 0.5000 0.5000
S4 S 0.6317 0.6317 0.6317
S5 S 0.7755 0.7755 0.7755
```

No. 8
Diffraction record for NbCd2Co2. The powder diffraction line list is simulated, not measured: it uses DFT lattice parameters and positions (PBE) and Cu Ka.

Principal peaks in the range 10° ≤ 2θ ≤ 80°, in order of rising 2θ:
35.7 deg, intensity 490
38.6 deg, intensity 1000
42.4 deg, intensity 296
46.1 deg, intensity 314
64.5 deg, intensity 220
75.1 deg, intensity 128

Cell and atoms:
```
data_NbCd2Co2
_cell_length_a 6.2208
_cell_length_b 6.2208
_cell_length_c 4.2632
_cell_angle_alpha 90.00
_cell_angle_beta 90.00
_cell_angle_gamma 90.00
_symmetry_space_group_name_H-M 'P 1'
_symmetry_Int_Tables_number 1
loop_
_symmetry_equiv_pos_as_xyz
'x,y,z'
loop_
_atom_site_label
_atom_site_type_symbol
_atom_site_fract_x
_atom_site_fract_y
_atom_site_fract_z
Nb1 Nb 0.0000 0.0000 0.0000
Nb2 Nb 0.5000 0.5000 0.0000
Cd1 Cd 0.1748 0.3252 0.5000
Cd2 Cd 0.3252 0.8252 0.5000
Cd3 Cd 0.6748 0.1748 0.5000
Cd4 Cd 0.8252 0.6748 0.5000
Co1 Co 0.1277 0.6277 0.0000
Co2 Co 0.3723 0.1277 0.0000
Co3 Co 0.6277 0.8723 0.0000
Co4 Co 0.8723 0.3723 0.0000
```